Entry 1:
Starting from a structure optimized by DFT (GGA-PBE), the powder X-ray diffraction pattern of Li2HfUS4 was simulated for Cu Kα.

Atomic structure:
Cell lengths 6.4188, 3.6807, 6.6471 Å; angles 90.00, 108.50, 90.00 degrees
Space group P2/m (No. 10)
Unique sites:
Li 0.0000 0.0000 0.0000 (multiplicity 1)
Li 0.5000 0.5000 0.0000 (multiplicity 1)
Hf 0.0000 0.5000 0.5000 (multiplicity 1)
U 0.5000 0.0000 0.5000 (multiplicity 1)
S 0.2327 0.5000 0.2419 (multiplicity 2)
S 0.2361 0.0000 0.7477 (multiplicity 2)

Most intense lines, 2θ = 10–80°, sorted by position:
Position (°2θ), d (Å), I/Imax, hkl
14.0, 6.304, 100.0, 0 0 1
28.3, 3.158, 30.1, 2 0 -1
28.3, 3.150, 40.4, 1 1 0
29.5, 3.023, 17.9, 1 1 -1
33.8, 2.649, 73.5, 1 1 1
36.9, 2.437, 20.6, 1 1 -2
43.9, 2.064, 18.4, 2 0 -3
47.9, 1.898, 18.2, 1 1 -3
49.3, 1.850, 16.5, 3 1 -1
61.3, 1.512, 13.3, 2 2 -2

***

Entry 2:
Starting from a structure optimized by DFT (GGA-PBE), the powder X-ray diffraction pattern of Li4HfSe4 was simulated for Cu Kα.

Atomic structure:
Cell lengths 6.2622, 6.2622, 11.6368 Å; angles 90.00, 90.00, 90.00 degrees
Space group I-42m (No. 121)
Unique sites:
Li 0.0000 0.0000 0.2231 (multiplicity 4)
Li 0.0000 0.5000 0.0000 (multiplicity 4)
Hf 0.0000 0.0000 0.5000 (multiplicity 2)
Se 0.2302 0.2302 0.6242 (multiplicity 8)

Most intense lines, 2θ = 10–80°, sorted by position:
Position (°2θ), d (Å), I/Imax, hkl
15.2, 5.818, 21.0, 0 0 2
16.1, 5.514, 94.5, 1 0 1
20.1, 4.428, 22.7, 1 1 0
25.3, 3.524, 100.0, 1 1 2
32.9, 2.723, 20.0, 2 1 1
39.7, 2.271, 22.6, 2 1 3
40.8, 2.214, 27.8, 2 2 0
42.4, 2.131, 51.0, 2 0 4
48.6, 1.875, 30.0, 3 1 2
75.3, 1.262, 16.0, 4 2 4

***

Entry 3:
Starting from a structure optimized by DFT (GGA-PBE), the powder X-ray diffraction pattern of LiHfSe3 was simulated for Cu Kα.

Atomic structure:
Cell lengths 3.6153, 19.5485, 6.8603 Å; angles 90.00, 90.00, 90.00 degrees
Space group Cmc2_1 (No. 36)
Unique sites:
Li 0.0000 0.1613 0.0000 (multiplicity 4)
Hf 0.0000 0.3391 0.9490 (multiplicity 4)
Se 0.0000 0.0972 0.6511 (multiplicity 4)
Se 0.0000 0.2509 0.3050 (multiplicity 4)
Se 0.0000 0.4231 0.6651 (multiplicity 4)

Most intense lines, 2θ = 10–80°, sorted by position:
Position (°2θ), d (Å), I/Imax, hkl
15.8, 5.615, 100.0, 0 2 1
22.3, 3.980, 31.7, 0 4 1
27.6, 3.237, 28.6, 0 2 2
28.2, 3.159, 32.5, 1 3 0
31.2, 2.871, 70.7, 1 3 1
36.3, 2.476, 54.4, 1 5 1
38.1, 2.362, 45.5, 0 6 2
38.7, 2.325, 32.6, 1 3 2
43.0, 2.103, 27.8, 1 7 1
47.3, 1.923, 41.9, 1 1 3

***

Entry 4:
Starting from a structure optimized by DFT (GGA-PBE), the powder X-ray diffraction pattern of LiHfSe2 was simulated for Cu Kα.

Atomic structure:
Cell lengths 3.7136, 3.7136, 6.6812 Å; angles 90.00, 90.00, 120.00 degrees
Space group P-3m1 (No. 164)
Unique sites:
Li 0.0000 0.0000 0.0000 (multiplicity 1)
Hf 0.0000 0.0000 0.5000 (multiplicity 1)
Se 0.3333 0.6667 0.7488 (multiplicity 2)

Most intense lines, 2θ = 10–80°, sorted by position:
Position (°2θ), d (Å), I/Imax, hkl
13.3, 6.681, 73.8, 0 0 1
27.7, 3.216, 13.7, 1 0 0
30.9, 2.898, 100.0, 0 1 1
38.9, 2.317, 75.9, 0 1 2
49.1, 1.857, 33.1, 1 1 0
49.8, 1.831, 26.7, 1 0 3
51.1, 1.789, 15.2, 1 1 1
59.1, 1.563, 15.7, 2 0 1
64.3, 1.449, 17.3, 2 0 2
76.8, 1.242, 17.6, 1 1 4

***

Entry 5:
Starting from a structure optimized by DFT (GGA-PBE), the powder X-ray diffraction pattern of Li2Hf2TiSe6 was simulated for Cu Kα.

Atomic structure:
Cell lengths 6.4401, 11.1559, 6.9421 Å; angles 90.00, 108.28, 90.00 degrees
Space group C2/m (No. 12)
Unique sites:
Li 0.0000 0.1703 0.0000 (multiplicity 4)
Hf 0.0000 0.3335 0.5000 (multiplicity 4)
Ti 0.0000 0.0000 0.5000 (multiplicity 2)
Se 0.2464 0.1636 0.7421 (multiplicity 8)
Se 0.2467 0.0000 0.2584 (multiplicity 4)

Most intense lines, 2θ = 10–80°, sorted by position:
Position (°2θ), d (Å), I/Imax, hkl
13.4, 6.592, 94.6, 0 0 1
28.1, 3.178, 42.9, 1 3 0
33.1, 2.704, 50.4, 2 0 -2
33.2, 2.695, 100.0, 1 3 1
42.6, 2.121, 12.4, 1 3 2
46.2, 1.963, 39.0, 1 3 -3
46.4, 1.956, 19.4, 2 0 2
49.0, 1.859, 51.2, 0 6 0
51.0, 1.790, 13.3, 3 3 -2
60.4, 1.532, 17.5, 2 6 -2

***

Entry 6:
Starting from a structure optimized by DFT (GGA-PBE), the powder X-ray diffraction pattern of Li3HfZr3Se8 was simulated for Cu Kα.

Atomic structure:
Cell lengths 13.0144, 7.5248, 7.9368 Å; angles 90.00, 123.00, 90.00 degrees
Space group C2/m (No. 12)
Unique sites:
Li 0.0000 0.0000 0.0000 (multiplicity 2)
Li 0.2500 0.2500 0.0000 (multiplicity 4)
Hf 0.0000 0.0000 0.5000 (multiplicity 2)
Zr 0.0000 0.5000 0.5000 (multiplicity 2)
Zr 0.2500 0.2500 0.5000 (multiplicity 4)
Se 0.0004 0.2480 0.2528 (multiplicity 8)
Se 0.2476 0.0000 0.7471 (multiplicity 4)
Se 0.2491 0.0000 0.2469 (multiplicity 4)

Most intense lines, 2θ = 10–80°, sorted by position:
Position (°2θ), d (Å), I/Imax, hkl
13.3, 6.657, 47.3, 0 0 1
27.8, 3.214, 24.3, 2 2 -1
32.8, 2.727, 100.0, 4 0 0
35.6, 2.524, 12.1, 4 0 -3
45.8, 1.982, 26.0, 2 2 2
45.9, 1.978, 12.9, 4 0 -4
48.4, 1.880, 33.0, 0 4 0
59.7, 1.549, 11.8, 4 4 0
68.9, 1.364, 11.3, 8 0 0
76.4, 1.247, 11.2, 6 2 2

***

Entry 7:
Starting from a structure optimized by DFT (GGA-PBE), the powder X-ray diffraction pattern of Li3Sm3HfTe8 was simulated for Cu Kα.

Atomic structure:
Cell lengths 8.7178, 8.7178, 21.2730 Å; angles 90.00, 90.00, 120.00 degrees
Space group R-3m (No. 166, hexagonal axes)
Unique sites:
Li 0.0000 0.5000 0.0000 (multiplicity 9)
Sm 0.0000 0.5000 0.5000 (multiplicity 9)
Hf 0.0000 0.0000 0.5000 (multiplicity 3)
Te 0.0000 0.0000 0.2541 (multiplicity 6)
Te 0.0207 0.5104 0.2492 (multiplicity 18)

Most intense lines, 2θ = 10–80°, sorted by position:
Position (°2θ), d (Å), I/Imax, hkl
12.5, 7.093, 35.5, 0 0 3
23.9, 3.717, 23.1, 0 2 1
29.0, 3.078, 100.0, 0 2 4
31.7, 2.824, 12.2, 2 0 5
41.4, 2.179, 36.9, 2 2 0
41.5, 2.174, 37.5, 2 0 8
51.4, 1.779, 19.4, 4 0 4
68.0, 1.378, 15.8, 2 4 4
68.2, 1.375, 16.5, 2 2 12
75.6, 1.258, 17.3, 4 2 8

***

Entry 8:
Starting from a structure optimized by DFT (GGA-PBE), the powder X-ray diffraction pattern of LiHf4Sn3 was simulated for Cu Kα.

Atomic structure:
Cell lengths 11.1575, 11.1575, 5.5054 Å; angles 90.00, 90.00, 90.00 degrees
Space group I4/mcm (No. 140)
Unique sites:
Li 0.0000 0.5000 0.2500 (multiplicity 4)
Hf 0.0818 0.2191 0.0000 (multiplicity 16)
Sn 0.0000 0.0000 0.2500 (multiplicity 4)
Sn 0.1559 0.3441 0.5000 (multiplicity 8)

Most intense lines, 2θ = 10–80°, sorted by position:
Position (°2θ), d (Å), I/Imax, hkl
11.2, 7.890, 32.6, 1 1 0
32.5, 2.753, 36.7, 0 0 2
33.2, 2.698, 76.5, 3 2 1
36.0, 2.495, 37.5, 4 2 0
36.4, 2.469, 21.4, 2 0 2
37.0, 2.429, 100.0, 4 1 1
39.9, 2.257, 23.1, 2 2 2
58.5, 1.578, 23.7, 3 2 3
61.0, 1.519, 23.8, 4 1 3
68.5, 1.369, 28.3, 5 5 2

***

Entry 9:
Starting from a structure optimized by DFT (GGA-PBE), the powder X-ray diffraction pattern of Li2HfTa was simulated for Cu Kα.

Atomic structure:
Cell lengths 7.3430, 7.3430, 5.2491 Å; angles 90.00, 90.00, 90.00 degrees
Space group I-42d (No. 122)
Unique sites:
Li 0.2469 0.2500 0.1250 (multiplicity 8)
Hf 0.0000 0.0000 0.5000 (multiplicity 4)
Ta 0.0000 0.0000 0.0000 (multiplicity 4)

Most intense lines, 2θ = 10–80°, sorted by position:
Position (°2θ), d (Å), I/Imax, hkl
24.2, 3.671, 100.0, 2 0 0
34.5, 2.596, 45.6, 2 2 0
38.4, 2.342, 64.7, 1 1 2
49.7, 1.836, 16.6, 4 0 0
52.6, 1.739, 52.8, 3 1 2
56.0, 1.642, 20.7, 4 2 0
64.5, 1.445, 14.4, 3 3 2
72.9, 1.298, 5.3, 4 4 0
75.3, 1.263, 18.5, 5 1 2
77.2, 1.236, 9.1, 2 0 4

***

Entry 10:
Starting from a structure optimized by DFT (GGA-PBE), the powder X-ray diffraction pattern of Li4Hf2Ta was simulated for Cu Kα.

Atomic structure:
Cell lengths 4.5808, 4.5808, 14.9600 Å; angles 90.00, 90.00, 90.00 degrees
Space group I4/mmm (No. 139)
Unique sites:
Li 0.0000 0.0000 0.1875 (multiplicity 4)
Li 0.0000 0.5000 0.0000 (multiplicity 4)
Hf 0.0000 0.0000 0.4041 (multiplicity 4)
Ta 0.0000 0.0000 0.0000 (multiplicity 2)

Most intense lines, 2θ = 10–80°, sorted by position:
Position (°2θ), d (Å), I/Imax, hkl
11.8, 7.480, 100.0, 0 0 2
26.4, 3.373, 42.3, 1 0 3
27.5, 3.239, 84.9, 1 1 0
30.1, 2.972, 39.7, 1 1 2
35.8, 2.505, 87.6, 1 0 5
39.3, 2.290, 35.8, 2 0 0
41.2, 2.190, 19.6, 2 0 2
48.0, 1.895, 17.0, 2 1 3
54.3, 1.690, 54.1, 2 1 5
64.3, 1.449, 18.5, 3 1 0

***

Entry 11:
Starting from a structure optimized by DFT (GGA-PBE), the powder X-ray diffraction pattern of LiHfZr2Ta was simulated for Cu Kα.

Atomic structure:
Cell lengths 5.0061, 5.0061, 4.8644 Å; angles 90.00, 90.00, 90.00 degrees
Space group P4/mmm (No. 123)
Unique sites:
Li 0.0000 0.0000 0.0000 (multiplicity 1)
Hf 0.5000 0.5000 0.0000 (multiplicity 1)
Zr 0.0000 0.5000 0.5000 (multiplicity 2)
Ta 0.0000 0.0000 0.5000 (multiplicity 1)

Most intense lines, 2θ = 10–80°, sorted by position:
Position (°2θ), d (Å), I/Imax, hkl
18.2, 4.864, 16.3, 0 0 1
25.2, 3.540, 12.3, 1 1 0
25.5, 3.489, 100.0, 1 0 1
31.3, 2.862, 17.8, 1 1 1
35.9, 2.503, 50.9, 2 0 0
37.0, 2.432, 23.5, 0 0 2
44.6, 2.034, 45.8, 2 1 1
51.6, 1.770, 18.0, 2 2 0
52.5, 1.744, 34.3, 2 0 2
65.2, 1.431, 17.7, 2 2 2

***

Entry 12:
Starting from a structure optimized by DFT (GGA-PBE), the powder X-ray diffraction pattern of LiHfTc2 was simulated for Cu Kα.

Atomic structure:
Cell lengths 5.3513, 4.3957, 5.4886 Å; angles 90.00, 100.71, 90.00 degrees
Space group Pm (No. 6)
Unique sites:
Li 0.0000 0.0000 0.0000 (multiplicity 1)
Li 0.2715 0.5000 0.8622 (multiplicity 1)
Hf 0.2237 0.5000 0.3483 (multiplicity 1)
Hf 0.7640 0.5000 0.6552 (multiplicity 1)
Tc 0.0196 0.0000 0.5000 (multiplicity 1)
Tc 0.4831 0.0000 0.7362 (multiplicity 1)
Tc 0.5314 0.0000 0.2617 (multiplicity 1)
Tc 0.7106 0.5000 0.1392 (multiplicity 1)

Most intense lines, 2θ = 10–80°, sorted by position:
Position (°2θ), d (Å), I/Imax, hkl
16.4, 5.393, 37.6, 0 0 1
25.8, 3.457, 19.0, 1 0 1
29.5, 3.026, 22.0, 1 1 -1
40.0, 2.256, 66.9, 2 1 0
40.3, 2.239, 100.0, 1 1 -2
40.8, 2.210, 12.6, 2 1 -1
41.1, 2.198, 34.2, 0 2 0
57.1, 1.613, 11.5, 3 0 -2
58.9, 1.568, 20.4, 1 2 2
74.3, 1.277, 13.7, 1 3 -2